(1)
Zr2BP: simulated X-ray powder pattern (a wavelength of 1.5418 Å), based on a crystal structure in Alexandria, relaxed with GGA-PBE.

Crystal structure
```
data_Zr2BP
_cell_length_a 3.5865
_cell_length_b 3.5865
_cell_length_c 17.8602
_cell_angle_alpha 90.00
_cell_angle_beta 90.00
_cell_angle_gamma 120.00
_symmetry_space_group_name_H-M 'R -3 m'
_symmetry_Int_Tables_number 166
_symmetry_space_group_name_Hall '-R 3 2"'
loop_
_atom_site_label
_atom_site_type_symbol
_atom_site_fract_x
_atom_site_fract_y
_atom_site_fract_z
Zr1 Zr 0.0000 0.0000 0.2428
B1 B 0.0000 0.0000 0.5000
P1 P 0.0000 0.0000 0.0000
```

Main lines, in order of falling intensity (2θ = 10–90°):
2θ (°)  I_rel
35.2  100
30.5  64
50.9  34
50.3  32
30.0  20
63.4  17
60.2  17
85.5  15
84.6  12
74.4  10

---

(2)
PrPa2B6: simulated X-ray powder pattern (a wavelength of 1.5418 Å), based on a crystal structure in Alexandria, relaxed with GGA-PBE.

Crystal structure
```
data_PrPa2B6
_cell_length_a 5.6370
_cell_length_b 5.6370
_cell_length_c 4.1006
_cell_angle_alpha 90.00
_cell_angle_beta 90.00
_cell_angle_gamma 120.00
_symmetry_space_group_name_H-M 'P 6/m m m'
_symmetry_Int_Tables_number 191
_symmetry_space_group_name_Hall '-P 6 2'
loop_
_atom_site_label
_atom_site_type_symbol
_atom_site_fract_x
_atom_site_fract_y
_atom_site_fract_z
Pr1 Pr 0.0000 0.0000 0.0000
Pa1 Pa 0.3333 0.6667 0.0000
B1 B 0.0000 0.3401 0.5000
```

Main lines, in order of falling intensity (2θ = 10–90°):
2θ (°)  I_rel
38.8  100
31.7  72
21.7  55
55.4  31
61.3  22
56.6  18
70.7  17
74.4  16
77.6  14
44.2  12

---

(3)
PaB2PtRh5: simulated X-ray powder pattern (a wavelength of 1.5418 Å), based on a crystal structure in Alexandria, relaxed with GGA-PBE.

Crystal structure
```
data_PaB2PtRh5
_cell_length_a 4.159
_cell_length_b 4.159
_cell_length_c 7.674
_cell_angle_alpha 90.00
_cell_angle_beta 90.00
_cell_angle_gamma 90.00
_symmetry_space_group_name_H-M 'P 4/m m m'
_symmetry_Int_Tables_number 123
_symmetry_space_group_name_Hall '-P 4 2'
loop_
_atom_site_label
_atom_site_type_symbol
_atom_site_fract_x
_atom_site_fract_y
_atom_site_fract_z
Pa1 Pa 0.000 0.000 0.000
B1 B 0.500 0.500 0.302
Pt1 Pt 0.000 0.000 0.500
Rh1 Rh 0.000 0.500 0.263
Rh2 Rh 0.500 0.500 0.000
```

Main lines, in order of falling intensity (2θ = 10–90°):
2θ (°)  I_rel
38.6  100
43.5  38
76.6  27
21.4  22
31.7  21
66.3  20
47.4  14
63.2  12
82.7  11
82.2  11

---

(4)
PaRe2B4: simulated X-ray powder pattern (a wavelength of 1.5418 Å), based on a crystal structure in Alexandria, relaxed with GGA-PBE.

Crystal structure
```
data_PaRe2B4
_cell_length_a 11.463
_cell_length_b 5.600
_cell_length_c 5.658
_cell_angle_alpha 90.00
_cell_angle_beta 110.68
_cell_angle_gamma 90.00
_symmetry_space_group_name_H-M 'C 1 2/c 1'
_symmetry_Int_Tables_number 15
loop_
_symmetry_equiv_pos_as_xyz
'x,y,z'
'-x,-y,-z'
'-x,y,-z+1/2'
'x,-y,z+1/2'
'x+1/2,y+1/2,z'
'-x+1/2,-y+1/2,-z'
'-x+1/2,y+1/2,-z+1/2'
'x+1/2,-y+1/2,z+1/2'
loop_
_atom_site_label
_atom_site_type_symbol
_atom_site_fract_x
_atom_site_fract_y
_atom_site_fract_z
Pa1 Pa 0.000 0.230 0.250
Re1 Re 0.238 0.429 0.175
B1 B 0.084 0.329 0.799
B2 B 0.133 0.105 0.012
```

Main lines, in order of falling intensity (2θ = 10–90°):
2θ (°)  I_rel
26.5  100
36.2  98
33.4  91
38.4  67
33.9  56
29.4  52
51.6  47
37.4  46
42.7  45
45.9  38

---

(5)
PaReB2: simulated X-ray powder pattern (a wavelength of 1.5418 Å), based on a crystal structure in Alexandria, relaxed with GGA-PBE.

Crystal structure
```
data_PaReB2
_cell_length_a 5.881
_cell_length_b 5.353
_cell_length_c 6.569
_cell_angle_alpha 90.00
_cell_angle_beta 90.00
_cell_angle_gamma 90.00
_symmetry_space_group_name_H-M 'P n m a'
_symmetry_Int_Tables_number 62
loop_
_symmetry_equiv_pos_as_xyz
'x,y,z'
'-x,-y,-z'
'-x+1/2,-y,z+1/2'
'x+1/2,y,-z+1/2'
'x+1/2,-y+1/2,-z+1/2'
'-x+1/2,y+1/2,z+1/2'
'-x,y+1/2,-z'
'x,-y+1/2,z'
loop_
_atom_site_label
_atom_site_type_symbol
_atom_site_fract_x
_atom_site_fract_y
_atom_site_fract_z
Pa1 Pa 0.001 0.250 0.159
Re1 Re 0.185 0.250 0.690
B1 B 0.132 0.585 0.466
```

Main lines, in order of falling intensity (2θ = 10–90°):
2θ (°)  I_rel
37.5  100
35.5  82
33.5  68
61.1  32
27.2  27
62.5  23
73.9  22
43.6  19
20.3  17
63.7  16

---

(6)
PaReB4: simulated X-ray powder pattern (a wavelength of 1.5418 Å), based on a crystal structure in Alexandria, relaxed with GGA-PBE.

Crystal structure
```
data_PaReB4
_cell_length_a 7.373
_cell_length_b 9.437
_cell_length_c 3.657
_cell_angle_alpha 90.00
_cell_angle_beta 90.00
_cell_angle_gamma 90.00
_symmetry_space_group_name_H-M 'C m m m'
_symmetry_Int_Tables_number 65
_symmetry_space_group_name_Hall '-C 2 2'
loop_
_atom_site_label
_atom_site_type_symbol
_atom_site_fract_x
_atom_site_fract_y
_atom_site_fract_z
Pa1 Pa 0.000 0.200 0.000
Re1 Re 0.188 0.500 0.000
B1 B 0.000 0.409 0.500
B2 B 0.121 0.000 0.500
B3 B 0.221 0.341 0.500
```

Main lines, in order of falling intensity (2θ = 10–90°):
2θ (°)  I_rel
24.3  100
39.6  86
30.8  74
39.7  57
30.9  47
59.8  39
45.5  34
67.6  27
49.9  27
37.8  25

---

(7)
Pa2ReB5: simulated X-ray powder pattern (a wavelength of 1.5418 Å), based on a crystal structure in Alexandria, relaxed with GGA-PBE.

Crystal structure
```
data_Pa2ReB5
_cell_length_a 5.141
_cell_length_b 5.141
_cell_length_c 7.616
_cell_angle_alpha 90.00
_cell_angle_beta 90.00
_cell_angle_gamma 90.00
_symmetry_space_group_name_H-M 'I 4 m m'
_symmetry_Int_Tables_number 107
_symmetry_space_group_name_Hall 'I 4 -2'
loop_
_atom_site_label
_atom_site_type_symbol
_atom_site_fract_x
_atom_site_fract_y
_atom_site_fract_z
Pa1 Pa 0.000 0.500 0.000
Re1 Re 0.000 0.000 0.236
B1 B 0.000 0.000 0.928
B2 B 0.178 0.178 0.761
```

Main lines, in order of falling intensity (2θ = 10–90°):
2θ (°)  I_rel
34.1  100
34.9  45
62.1  35
20.8  23
60.5  18
50.2  18
24.5  18
71.8  12
42.4  12
41.0  11

---

(8)
Pa3ReB7: simulated X-ray powder pattern (a wavelength of 1.5418 Å), based on a crystal structure in Alexandria, relaxed with GGA-PBE.

Crystal structure
```
data_Pa3ReB7
_cell_length_a 3.584
_cell_length_b 15.868
_cell_length_c 9.399
_cell_angle_alpha 90.00
_cell_angle_beta 90.00
_cell_angle_gamma 90.00
_symmetry_space_group_name_H-M 'C m c m'
_symmetry_Int_Tables_number 63
_symmetry_space_group_name_Hall '-C 2c 2'
loop_
_atom_site_label
_atom_site_type_symbol
_atom_site_fract_x
_atom_site_fract_y
_atom_site_fract_z
Pa1 Pa 0.000 0.107 0.060
Pa2 Pa 0.000 0.248 0.750
Re1 Re 0.000 0.051 0.750
B1 B 0.000 0.276 0.036
B2 B 0.000 0.367 0.153
B3 B 0.000 0.456 0.750
B4 B 0.000 0.480 0.093
```

Main lines, in order of falling intensity (2θ = 10–90°):
2θ (°)  I_rel
25.5  100
29.5  91
38.6  89
30.7  65
39.1  59
33.9  32
37.9  31
51.0  27
42.6  27
60.0  26

---

(9)
Pa2B10Rh: simulated X-ray powder pattern (a wavelength of 1.5418 Å), based on a crystal structure in Alexandria, relaxed with GGA-PBE.

Crystal structure
```
data_Pa2B10Rh
_cell_length_a 5.649
_cell_length_b 11.281
_cell_length_c 4.136
_cell_angle_alpha 90.00
_cell_angle_beta 90.00
_cell_angle_gamma 90.00
_symmetry_space_group_name_H-M 'P b a m'
_symmetry_Int_Tables_number 55
loop_
_symmetry_equiv_pos_as_xyz
'x,y,z'
'-x,-y,-z'
'-x,-y,z'
'x,y,-z'
'x+1/2,-y+1/2,-z'
'-x+1/2,y+1/2,z'
'-x+1/2,y+1/2,-z'
'x+1/2,-y+1/2,z'
loop_
_atom_site_label
_atom_site_type_symbol
_atom_site_fract_x
_atom_site_fract_y
_atom_site_fract_z
Pa1 Pa 0.198 0.139 0.000
B1 B 0.050 0.307 0.500
B2 B 0.117 0.958 0.500
B3 B 0.139 0.802 0.500
B4 B 0.216 0.381 0.196
Rh1 Rh 0.000 0.500 0.500
```

Main lines, in order of falling intensity (2θ = 10–90°):
2θ (°)  I_rel
31.1  100
38.6  84
22.3  82
21.5  30
49.7  28
27.9  26
31.7  24
45.4  22
43.8  18
56.1  18

---

(10)
PaB2Rh4: simulated X-ray powder pattern (a wavelength of 1.5418 Å), based on a crystal structure in Alexandria, relaxed with GGA-PBE.

Crystal structure
```
data_PaB2Rh4
_cell_length_a 7.722
_cell_length_b 7.760
_cell_length_c 7.710
_cell_angle_alpha 90.00
_cell_angle_beta 119.90
_cell_angle_gamma 90.00
_symmetry_space_group_name_H-M 'C 1 c 1'
_symmetry_Int_Tables_number 9
loop_
_symmetry_equiv_pos_as_xyz
'x,y,z'
'x,-y,z+1/2'
'x+1/2,y+1/2,z'
'x+1/2,-y+1/2,z+1/2'
loop_
_atom_site_label
_atom_site_type_symbol
_atom_site_fract_x
_atom_site_fract_y
_atom_site_fract_z
Pa1 Pa 0.000 0.125 0.000
B1 B 0.082 0.447 0.869
B2 B 0.213 0.197 0.631
Rh1 Rh 0.033 0.272 0.328
Rh2 Rh 0.205 0.477 0.672
Rh3 Rh 0.287 0.008 0.342
Rh4 Rh 0.445 0.258 0.159
```

Main lines, in order of falling intensity (2θ = 10–90°):
2θ (°)  I_rel
37.4  100
35.4  75
42.1  59
26.6  50
50.6  30
17.5  26
54.7  25
68.6  24
32.7  23
37.3  19

---

(11)
PaBRh: simulated X-ray powder pattern (a wavelength of 1.5418 Å), based on a crystal structure in Alexandria, relaxed with GGA-PBE.

Crystal structure
```
data_PaBRh
_cell_length_a 9.714
_cell_length_b 3.828
_cell_length_c 6.867
_cell_angle_alpha 90.00
_cell_angle_beta 134.79
_cell_angle_gamma 90.00
_symmetry_space_group_name_H-M 'C 1 2/m 1'
_symmetry_Int_Tables_number 12
loop_
_symmetry_equiv_pos_as_xyz
'x,y,z'
'-x,-y,-z'
'-x,y,-z'
'x,-y,z'
'x+1/2,y+1/2,z'
'-x+1/2,-y+1/2,-z'
'-x+1/2,y+1/2,-z'
'x+1/2,-y+1/2,z'
loop_
_atom_site_label
_atom_site_type_symbol
_atom_site_fract_x
_atom_site_fract_y
_atom_site_fract_z
Pa1 Pa 0.086 0.000 0.324
B1 B 0.120 0.500 0.662
Rh1 Rh 0.208 0.500 0.101
```

Main lines, in order of falling intensity (2θ = 10–90°):
2θ (°)  I_rel
37.5  100
26.6  31
41.4  26
26.0  21
64.8  16
41.6  16
47.5  13
72.9  12
81.7  12
60.6  10

---

(12)
Pa3B8Ru3: simulated X-ray powder pattern (a wavelength of 1.5418 Å), based on a crystal structure in Alexandria, relaxed with GGA-PBE.

Crystal structure
```
data_Pa3B8Ru3
_cell_length_a 3.287
_cell_length_b 9.251
_cell_length_c 10.992
_cell_angle_alpha 90.00
_cell_angle_beta 90.00
_cell_angle_gamma 90.00
_symmetry_space_group_name_H-M 'I m m m'
_symmetry_Int_Tables_number 71
_symmetry_space_group_name_Hall '-I 2 2'
loop_
_atom_site_label
_atom_site_type_symbol
_atom_site_fract_x
_atom_site_fract_y
_atom_site_fract_z
Pa1 Pa 0.000 0.000 0.000
Pa2 Pa 0.000 0.000 0.300
B1 B 0.000 0.255 0.149
B2 B 0.000 0.319 0.315
Ru1 Ru 0.000 0.232 0.500
Ru2 Ru 0.000 0.500 0.000
```

Main lines, in order of falling intensity (2θ = 10–90°):
2θ (°)  I_rel
41.8  100
19.2  55
28.8  55
26.2  42
38.9  36
38.1  33
34.5  30
32.6  25
72.5  23
36.7  21

---

(13)
PaB2Ru4: simulated X-ray powder pattern (a wavelength of 1.5418 Å), based on a crystal structure in Alexandria, relaxed with GGA-PBE.

Crystal structure
```
data_PaB2Ru4
_cell_length_a 3.831
_cell_length_b 12.964
_cell_length_c 3.779
_cell_angle_alpha 90.00
_cell_angle_beta 90.00
_cell_angle_gamma 90.00
_symmetry_space_group_name_H-M 'C m m m'
_symmetry_Int_Tables_number 65
_symmetry_space_group_name_Hall '-C 2 2'
loop_
_atom_site_label
_atom_site_type_symbol
_atom_site_fract_x
_atom_site_fract_y
_atom_site_fract_z
Pa1 Pa 0.000 0.000 0.000
B1 B 0.000 0.427 0.500
Ru1 Ru 0.000 0.174 0.500
Ru2 Ru 0.000 0.322 0.000
```

Main lines, in order of falling intensity (2θ = 10–90°):
2θ (°)  I_rel
39.5  100
24.2  20
41.8  19
47.5  16
48.2  15
27.3  14
74.8  14
82.9  12
83.9  11
31.2  11